Entry 1:
Starting from DFT lattice parameters and positions (GGA-PBE), the powder XRD pattern of Pm4Nd3Sm3 was computed for copper Kα.

Peak list (12 most intense, 10° ≤ 2θ ≤ 90°, sorted by position)
Position (°2θ)  I_rel  h k l
26.2  13  0 4 0
29.4  63  0 4 2
29.9  28  1 2 2
31.4  100  1 1 3
33.6  11  0 1 5
37.9  9  1 4 2
41.4  8  1 5 1
45.7  13  1 5 3
47.8  12  2 0 0
54.3  16  1 4 6
57.0  17  1 7 3
57.1  19  2 4 2

Cell and atoms:
Cell: 3.808 13.566 13.597 Å, 90.00 90.00 90.00°
Space group Amm2 (No. 38)
Symmetry-distinct sites (fractional):
1 Pm 0.000 0.000 0.000 (multiplicity 2)
2 Pm 0.000 0.000 0.257 (multiplicity 2)
3 Pm 0.000 0.128 0.630 (multiplicity 4)
4 Nd 0.500 0.000 0.457 (multiplicity 2)
5 Nd 0.500 0.172 0.128 (multiplicity 4)
6 Sm 0.000 0.249 0.878 (multiplicity 4)
7 Sm 0.500 0.000 0.800 (multiplicity 2)



Entry 2:
Starting from DFT lattice parameters and positions (GGA-PBE), the powder XRD pattern of PrPaPS was computed for copper Kα.

Peak list (12 most intense, 10° ≤ 2θ ≤ 90°, sorted by position)
Position (°2θ)  I_rel  h k l
12.4  19  0 0 3
25.0  38  0 0 6
26.5  79  1 0 1
27.5  41  0 1 2
31.1  34  1 0 4
33.6  100  0 1 5
39.6  38  1 0 7
46.2  47  1 1 0
50.4  21  1 0 10
53.2  31  1 1 6
58.3  21  2 0 5
71.4  22  1 1 12

Cell and atoms:
Cell: 3.9331 3.9331 21.3938 Å, 90.00 90.00 120.00°
Space group R3m (No. 160, hexagonal axes)
Symmetry-distinct sites (fractional):
1 Pr 0.0000 0.0000 0.0000 (multiplicity 3)
2 Pa 0.0000 0.0000 0.1782 (multiplicity 3)
3 P 0.0000 0.0000 0.5850 (multiplicity 3)
4 S 0.0000 0.0000 0.7622 (multiplicity 3)



Entry 3:
Starting from DFT lattice parameters and positions (GGA-PBE), the powder XRD pattern of Be6AlCu6 was computed for copper Kα.

Peak list (12 most intense, 10° ≤ 2θ ≤ 90°, sorted by position)
Position (°2θ)  I_rel  h k l
16.1  27  0 1 1
22.6  61  0 0 2
32.5  25  0 2 2
32.7  42  1 1 2
40.7  100  1 3 0
41.0  51  2 0 0
46.7  30  1 2 3
47.1  48  1 3 2
47.3  27  2 0 2
52.2  40  0 2 4
53.3  28  2 2 2
86.1  20  1 3 6

Cell and atoms:
Cell: 4.401 7.694 7.877 Å, 90.00 90.00 90.00°
Space group Immm (No. 71)
Symmetry-distinct sites (fractional):
1 Be 0.000 0.000 0.237 (multiplicity 4)
2 Be 0.250 0.250 0.250 (multiplicity 8)
3 Al 0.000 0.500 0.500 (multiplicity 2)
4 Cu 0.000 0.158 0.500 (multiplicity 4)
5 Cu 0.000 0.182 0.000 (multiplicity 4)
6 Cu 0.000 0.500 0.154 (multiplicity 4)